(1)
Starting from a GGA-PBE-relaxed structure, the XRD peak list of CsTl5In2Pb was simulated for CuKα.
Lines closer than 0.1° are merged.

Atomic structure:
```
data_CsTl5In2Pb
_cell_length_a 5.4354
_cell_length_b 5.4354
_cell_length_c 12.8461
_cell_angle_alpha 90.00
_cell_angle_beta 90.00
_cell_angle_gamma 90.00
_space_group_name_H-M_alt 'P 1'
_space_group_IT_number 1
_space_group_name_Hall 'P 1'
loop_
_atom_site_label
_atom_site_type_symbol
_atom_site_fract_x
_atom_site_fract_y
_atom_site_fract_z
_atom_site_occupancy
Cs1 Cs 0.0000 0.0000 0.0000 1
Tl1 Tl 0.0000 0.5000 0.3493 1
Tl2 Tl 0.0000 0.5000 0.6507 1
Tl3 Tl 0.5000 0.0000 0.3493 1
Tl4 Tl 0.5000 0.0000 0.6507 1
Tl5 Tl 0.5000 0.5000 0.0000 1
In1 In 0.5000 0.5000 0.2261 1
In2 In 0.5000 0.5000 0.7739 1
Pb1 Pb 0.5000 0.5000 0.5000 1
```

Principal peaks in the range 2θ from 15° to 90°, by intensity:
| hkl | two_theta | I_rel |
| --- | --- | --- |
| 1 1 4 | 36.46 | 100 |
| 2 0 0 | 32.96 | 86 |
| 1 1 1 | 24.17 | 61 |
| 1 0 0 | 16.31 | 49 |
| 3 1 4 | 61.16 | 45 |
| 1 1 3 | 31.27 | 44 |
| 1 1 2 | 27.04 | 37 |
| 0 0 3 | 20.74 | 34 |
| 2 2 0 | 47.30 | 32 |
| 2 0 3 | 39.26 | 27 |

***

(2)
Starting from a GGA-PBE-relaxed structure, the XRD peak list of Ba6NiBr was simulated for CuKα.
Lines closer than 0.1° are merged.

Atomic structure:
```
data_Ba6NiBr
_cell_length_a 8.0027
_cell_length_b 8.0027
_cell_length_c 15.2213
_cell_angle_alpha 90.00
_cell_angle_beta 90.00
_cell_angle_gamma 120.00
_space_group_name_H-M_alt 'P 1'
_space_group_IT_number 1
_space_group_name_Hall 'P 1'
loop_
_atom_site_label
_atom_site_type_symbol
_atom_site_fract_x
_atom_site_fract_y
_atom_site_fract_z
_atom_site_occupancy
Ba1 Ba 0.0095 0.3236 0.1174 1
Ba2 Ba 0.0095 0.6859 0.3826 1
Ba3 Ba 0.3141 0.3236 0.3826 1
Ba4 Ba 0.3141 0.9905 0.1174 1
Ba5 Ba 0.3236 0.0095 0.6174 1
Ba6 Ba 0.3236 0.3141 0.8826 1
Ba7 Ba 0.6764 0.6859 0.1174 1
Ba8 Ba 0.6764 0.9905 0.3826 1
Ba9 Ba 0.6859 0.0095 0.8826 1
Ba10 Ba 0.6859 0.6764 0.6174 1
Ba11 Ba 0.9905 0.3141 0.6174 1
Ba12 Ba 0.9905 0.6764 0.8826 1
Ni1 Ni 0.0000 0.0000 0.0000 1
Ni2 Ni 0.0000 0.0000 0.5000 1
Br1 Br 0.3333 0.6667 0.7500 1
Br2 Br 0.6667 0.3333 0.2500 1
```

Principal peaks in the range 2θ from 15° to 90°, by intensity:
| hkl | two_theta | I_rel |
| --- | --- | --- |
| 1 1 2 | 25.14 | 100 |
| 2 -1 4 | 32.47 | 34 |
| 3 0 0 | 38.99 | 28 |
| 1 1 6 | 42.18 | 23 |
| 0 0 4 | 23.38 | 17 |
| 4 -2 2 | 46.96 | 17 |
| 3 0 4 | 45.96 | 15 |
| 4 1 2 | 62.63 | 14 |
| 3 0 8 | 63.33 | 13 |
| 1 1 0 | 22.22 | 9 |